No. 1
Diffraction record for LaSm2Al. The powder diffractogram is calculated, not measured: it uses a PBE-relaxed structure and Cu Kα (λ = 1.5418 Å).
Neutral-atom scattering factors, no anomalous dispersion.

Cell and atoms:
```
4
Lattice="4.9048 0.0000 0.0000 0.0000 4.9048 0.0000 0.0000 0.0000 4.8467" Properties=species:S:1:pos:R:3 pbc="T T T"
La 0.0000 0.0000 0.0000
Sm 0.0000 2.4524 2.4233
Sm 2.4524 0.0000 2.4233
Al 2.4524 2.4524 0.0000
```

Peak list (10 most intense, 2θ = 10–80°, by angle)
- 2θ 18.1, 4.905 Å, I = 11
- 2θ 25.8, 3.447 Å, I = 9
- 2θ 31.7, 2.820 Å, I = 100
- 2θ 36.6, 2.452 Å, I = 34
- 2θ 37.1, 2.423 Å, I = 16
- 2θ 52.8, 1.734 Å, I = 12
- 2θ 53.1, 1.724 Å, I = 23
- 2θ 62.9, 1.477 Å, I = 28
- 2θ 63.5, 1.464 Å, I = 14
- 2θ 66.3, 1.410 Å, I = 12


No. 2
Diffraction record for Tm3Tl7. The powder diffractogram is calculated, not measured: it uses a PBE-relaxed structure and Cu Kα (λ = 1.5418 Å).
Neutral-atom scattering factors, no anomalous dispersion.

Cell and atoms:
```
10
Lattice="8.7308 -2.3767 0.0000 8.7308 2.3767 0.0000 -1.3790 0.0000 6.4667" Properties=species:S:1:pos:R:3 pbc="T T T"
Tm 0.0000 0.0000 0.0000
Tm 2.4499 0.0000 3.9523
Tm 13.6327 0.0000 2.5144
Tl -0.6895 0.0000 3.2333
Tl 3.4225 0.0000 0.7924
Tl 5.8891 0.0000 4.4814
Tl 6.8006 0.0000 1.2121
Tl 9.2820 0.0000 5.2546
Tl 10.1935 0.0000 1.9852
Tl 12.6601 0.0000 5.6743
```

Peak list (10 most intense, 2θ = 10–80°, by angle)
- 2θ 32.3, 2.774 Å, I = 100
- 2θ 33.0, 2.714 Å, I = 98
- 2θ 37.5, 2.399 Å, I = 32
- 2θ 37.9, 2.377 Å, I = 34
- 2θ 38.3, 2.352 Å, I = 31
- 2θ 54.3, 1.688 Å, I = 22
- 2θ 54.9, 1.672 Å, I = 22
- 2θ 64.9, 1.437 Å, I = 14
- 2θ 65.3, 1.429 Å, I = 26
- 2θ 66.3, 1.410 Å, I = 12


No. 3
Diffraction record for LaAsH2Rh2. The powder diffractogram is calculated, not measured: it uses a PBE-relaxed structure and Cu Kα (λ = 1.5418 Å).
Neutral-atom scattering factors, no anomalous dispersion.

Cell and atoms:
```
12
Lattice="5.4468 0.0000 0.0000 0.0000 5.5915 0.0000 -1.2718 0.0000 6.2642" Properties=species:S:1:pos:R:3 pbc="T T T"
La 0.7348 1.3979 1.9697
La 3.4403 4.1936 4.2944
As 1.4518 4.1936 0.5675
As 2.7233 1.3979 5.6967
H -0.0763 1.3979 4.2910
H 0.6550 4.1936 3.8246
H 3.5201 1.3979 2.4396
H 4.2514 4.1936 1.9732
Rh 0.8169 0.0135 4.9374
Rh 0.8169 2.7823 4.9374
Rh 3.3582 2.8092 1.3268
Rh 3.3582 5.5780 1.3268
```

Peak list (10 most intense, 2θ = 10–80°, by angle)
- 2θ 16.6, 5.338 Å, I = 29
- 2θ 21.3, 4.171 Å, I = 25
- 2θ 25.3, 3.521 Å, I = 64
- 2θ 28.5, 3.132 Å, I = 61
- 2θ 32.8, 2.733 Å, I = 39
- 2θ 33.6, 2.669 Å, I = 54
- 2θ 37.8, 2.379 Å, I = 100
- 2θ 39.2, 2.296 Å, I = 27
- 2θ 40.4, 2.234 Å, I = 87
- 2θ 54.9, 1.673 Å, I = 26


No. 4
Diffraction record for U4As8Pd3. The powder diffractogram is calculated, not measured: it uses a PBE-relaxed structure and Cu Kα (λ = 1.5418 Å).
Neutral-atom scattering factors, no anomalous dispersion.

Cell and atoms:
```
15
Lattice="3.9845 0.0000 0.0000 0.0000 3.9845 0.0000 0.0000 0.0000 18.7873" Properties=species:S:1:pos:R:3 pbc="T T T"
U 0.0000 1.9922 2.3430
U 0.0000 1.9922 11.9195
U 1.9922 0.0000 6.8677
U 1.9922 0.0000 16.4443
As 0.0000 0.0000 4.6080
As 0.0000 0.0000 14.1793
As 0.0000 1.9922 7.5791
As 0.0000 1.9922 17.1878
As 1.9922 0.0000 1.5994
As 1.9922 0.0000 11.2081
As 1.9922 1.9922 4.6103
As 1.9922 1.9922 14.1769
Pd 0.0000 0.0000 0.0000
Pd 0.0000 0.0000 9.3936
Pd 1.9922 1.9922 9.3936
```

Peak list (10 most intense, 2θ = 10–80°, by angle)
- 2θ 24.3, 3.668 Å, I = 39
- 2θ 36.5, 2.462 Å, I = 23
- 2θ 37.2, 2.416 Å, I = 100
- 2θ 38.3, 2.348 Å, I = 16
- 2θ 45.5, 1.992 Å, I = 33
- 2θ 54.0, 1.699 Å, I = 12
- 2θ 59.7, 1.549 Å, I = 11
- 2θ 61.0, 1.519 Å, I = 17
- 2θ 66.4, 1.409 Å, I = 11
- 2θ 78.6, 1.217 Å, I = 24


No. 5
Diffraction record for Na3Zn7Si4. The powder diffractogram is calculated, not measured: it uses a PBE-relaxed structure and Cu Kα (λ = 1.5418 Å).
Neutral-atom scattering factors, no anomalous dispersion.

Cell and atoms:
```
14
Lattice="7.7719 -2.0892 0.0000 7.7719 2.0892 0.0000 -5.8532 0.0000 7.6618" Properties=species:S:1:pos:R:3 pbc="T T T"
Na 0.0000 0.0000 0.0000
Na 2.9937 0.0000 2.3568
Na 6.6969 0.0000 5.3050
Zn -2.9266 0.0000 3.8309
Zn 0.0518 0.0000 3.2201
Zn -0.5946 0.0000 7.4598
Zn 3.5446 0.0000 5.4196
Zn 6.1459 0.0000 2.2422
Zn 10.2851 0.0000 0.2020
Zn 9.6387 0.0000 4.4418
Si -2.9556 0.0000 6.3418
Si 1.0255 0.0000 5.5612
Si 8.6650 0.0000 2.1006
Si 12.6461 0.0000 1.3201
```

Peak list (10 most intense, 2θ = 10–80°, by angle)
- 2θ 18.4, 4.820 Å, I = 59
- 2θ 29.3, 3.051 Å, I = 33
- 2θ 35.7, 2.518 Å, I = 100
- 2θ 36.0, 2.492 Å, I = 93
- 2θ 37.3, 2.412 Å, I = 50
- 2θ 38.4, 2.344 Å, I = 52
- 2θ 43.3, 2.089 Å, I = 72
- 2θ 44.0, 2.059 Å, I = 52
- 2θ 45.9, 1.978 Å, I = 37
- 2θ 63.4, 1.466 Å, I = 32


No. 6
Diffraction record for YFe10Mo2N. The powder diffractogram is calculated, not measured: it uses a PBE-relaxed structure and Cu Kα (λ = 1.5418 Å).
Neutral-atom scattering factors, no anomalous dispersion.

Cell and atoms:
```
14
Lattice="-2.3813 4.3100 4.3400 2.3813 -4.3100 4.3400 2.3813 4.3100 -4.3400" Properties=species:S:1:pos:R:3 pbc="T T T"
Y 0.0000 0.0000 0.0000
Fe 1.1906 2.1550 -2.1700
Fe 1.1906 -2.1550 2.1700
Fe 2.3813 0.0000 1.9127
Fe 2.3813 1.9131 0.0000
Fe 0.0000 0.0000 3.1245
Fe -1.1906 2.1550 2.1700
Fe 1.1906 2.1550 2.1700
Fe 0.0000 0.0000 5.5556
Fe 0.0000 2.3968 4.3400
Fe 0.0000 4.3100 2.4274
Mo 0.0000 3.0875 0.0000
Mo 0.0000 5.5324 0.0000
N 2.3813 0.0000 0.0000
```

Peak list (10 most intense, 2θ = 10–80°, by angle)
- 2θ 36.3, 2.473 Å, I = 31
- 2θ 36.5, 2.460 Å, I = 29
- 2θ 37.8, 2.381 Å, I = 23
- 2θ 41.6, 2.170 Å, I = 40
- 2θ 41.9, 2.155 Å, I = 23
- 2θ 42.2, 2.142 Å, I = 100
- 2θ 43.4, 2.086 Å, I = 80
- 2θ 47.5, 1.915 Å, I = 22
- 2θ 48.4, 1.879 Å, I = 43
- 2θ 71.2, 1.324 Å, I = 19


No. 7
Diffraction record for PaRh3O6. The powder diffractogram is calculated, not measured: it uses a PBE-relaxed structure and Cu Kα (λ = 1.5418 Å).
Neutral-atom scattering factors, no anomalous dispersion.

Cell and atoms:
```
10
Lattice="3.4946 -5.0368 0.0000 3.4946 5.0368 0.0000 0.0000 0.0000 3.5411" Properties=species:S:1:pos:R:3 pbc="T T T"
Pa 0.0000 0.0000 0.0000
Rh 1.7473 2.5184 1.7705
Rh 1.7473 -2.5184 1.7705
Rh 3.4946 0.0000 0.0000
O 3.4946 3.6236 1.7705
O 1.9707 1.3025 0.0000
O 1.9707 -1.3025 0.0000
O 5.0185 1.3025 0.0000
O 5.0185 -1.3025 0.0000
O 3.4946 -3.6236 1.7705
```

Peak list (10 most intense, 2θ = 10–80°, by angle)
- 2θ 15.4, 5.742 Å, I = 29
- 2θ 30.9, 2.897 Å, I = 100
- 2θ 31.2, 2.871 Å, I = 95
- 2θ 35.7, 2.518 Å, I = 23
- 2θ 36.1, 2.487 Å, I = 44
- 2θ 51.6, 1.770 Å, I = 77
- 2θ 52.4, 1.747 Å, I = 14
- 2θ 61.2, 1.513 Å, I = 14
- 2θ 61.5, 1.507 Å, I = 27
- 2θ 62.0, 1.496 Å, I = 27


No. 8
Diffraction record for Pr4FeBr5. The powder diffractogram is calculated, not measured: it uses a PBE-relaxed structure and Cu Kα (λ = 1.5418 Å).
Neutral-atom scattering factors, no anomalous dispersion.

Cell and atoms:
```
10
Lattice="9.2554 -2.0839 0.0000 9.2554 2.0839 0.0000 -2.3385 0.0000 8.8722" Properties=species:S:1:pos:R:3 pbc="T T T"
Pr -0.5230 0.0000 2.0403
Pr 4.5197 0.0000 8.2230
Pr 11.6526 0.0000 0.6492
Pr 16.6954 0.0000 6.8319
Fe 9.2554 0.0000 0.0000
Br 2.3562 0.0000 2.8677
Br 1.1648 0.0000 7.5284
Br 8.0862 0.0000 4.4361
Br 15.0076 0.0000 1.3438
Br 13.8161 0.0000 6.0045
```

Peak list (10 most intense, 2θ = 10–80°, by angle)
- 2θ 19.8, 4.481 Å, I = 9
- 2θ 28.9, 3.085 Å, I = 100
- 2θ 30.0, 2.983 Å, I = 35
- 2θ 33.0, 2.716 Å, I = 12
- 2θ 39.3, 2.294 Å, I = 20
- 2θ 42.0, 2.150 Å, I = 26
- 2θ 42.2, 2.139 Å, I = 27
- 2θ 43.4, 2.084 Å, I = 17
- 2θ 53.6, 1.708 Å, I = 13
- 2θ 60.0, 1.542 Å, I = 11


No. 9
Diffraction record for PmBeGa. The powder diffractogram is calculated, not measured: it uses a PBE-relaxed structure and Cu Kα (λ = 1.5418 Å).
Neutral-atom scattering factors, no anomalous dispersion.

Cell and atoms:
```
6
Lattice="-2.0496 2.0496 7.1564 2.0496 -2.0496 7.1564 2.0496 2.0496 -7.1564" Properties=species:S:1:pos:R:3 pbc="T T T"
Pm 0.0000 0.0000 0.0000
Pm 0.0000 2.0496 3.5782
Be 2.0496 0.0000 2.3660
Be 0.0000 0.0000 5.9442
Ga 2.0496 0.0000 4.7773
Ga 0.0000 0.0000 8.3555
```

Peak list (10 most intense, 2θ = 10–80°, by angle)
- 2θ 22.6, 3.941 Å, I = 25
- 2θ 24.9, 3.578 Å, I = 20
- 2θ 28.7, 3.109 Å, I = 51
- 2θ 33.4, 2.687 Å, I = 100
- 2θ 38.4, 2.347 Å, I = 43
- 2θ 44.2, 2.050 Å, I = 31
- 2θ 49.8, 1.830 Å, I = 20
- 2θ 53.6, 1.711 Å, I = 18
- 2θ 59.9, 1.544 Å, I = 23
- 2θ 74.4, 1.276 Å, I = 19


No. 10
Diffraction record for Ca4CeTl5. The powder diffractogram is calculated, not measured: it uses a PBE-relaxed structure and Cu Kα (λ = 1.5418 Å).
Neutral-atom scattering factors, no anomalous dispersion.

Cell and atoms:
```
10
Lattice="3.8868 0.0000 0.0000 0.0000 3.8868 0.0000 0.0000 0.0000 19.5956" Properties=species:S:1:pos:R:3 pbc="T T T"
Ca 0.0000 0.0000 1.9533
Ca 0.0000 0.0000 5.8138
Ca 0.0000 0.0000 13.7818
Ca 0.0000 0.0000 17.6423
Ce 0.0000 0.0000 9.7978
Tl 1.9434 1.9434 0.0000
Tl 1.9434 1.9434 3.8858
Tl 1.9434 1.9434 7.7813
Tl 1.9434 1.9434 11.8143
Tl 1.9434 1.9434 15.7097
```

Peak list (10 most intense, 2θ = 10–80°, by angle)
- 2θ 22.7, 3.919 Å, I = 16
- 2θ 22.9, 3.887 Å, I = 32
- 2θ 32.4, 2.760 Å, I = 100
- 2θ 32.6, 2.748 Å, I = 50
- 2θ 40.1, 2.250 Å, I = 16
- 2θ 46.7, 1.943 Å, I = 18
- 2θ 52.6, 1.740 Å, I = 15
- 2θ 57.8, 1.596 Å, I = 19
- 2θ 58.0, 1.589 Å, I = 38
- 2θ 77.7, 1.230 Å, I = 16


No. 11
Diffraction record for Ce2BeGe3. The powder diffractogram is calculated, not measured: it uses a PBE-relaxed structure and Cu Kα (λ = 1.5418 Å).
Neutral-atom scattering factors, no anomalous dispersion.

Cell and atoms:
```
12
Lattice="0.0000 4.2331 7.0797 4.0875 0.0000 7.0797 4.0875 4.2331 0.0000" Properties=species:S:1:pos:R:3 pbc="T T T"
Ce 4.0875 2.0585 7.0797
Ce 2.0438 2.1165 3.5398
Ce 6.1313 6.3496 10.6195
Ce 4.0875 6.4077 7.0797
Be 4.0875 4.2331 4.7207
Be 4.0875 4.2331 9.4386
Ge 4.0875 4.2331 2.4997
Ge 5.9897 4.2331 5.8338
Ge 5.9897 4.2331 8.3256
Ge 2.1853 4.2331 5.8338
Ge 2.1853 4.2331 8.3256
Ge 4.0875 4.2331 11.6597
```

Peak list (10 most intense, 2θ = 10–80°, by angle)
- 2θ 25.2, 3.540 Å, I = 17
- 2θ 33.0, 2.716 Å, I = 100
- 2θ 35.2, 2.551 Å, I = 4
- 2θ 42.7, 2.117 Å, I = 14
- 2θ 44.3, 2.044 Å, I = 35
- 2θ 50.2, 1.817 Å, I = 5
- 2θ 56.3, 1.633 Å, I = 21
- 2θ 63.3, 1.470 Å, I = 24
- 2θ 72.1, 1.311 Å, I = 10
- 2θ 74.4, 1.276 Å, I = 18


No. 12
Diffraction record for SmPuHg5. The powder diffractogram is calculated, not measured: it uses a PBE-relaxed structure and Cu Kα (λ = 1.5418 Å).
Neutral-atom scattering factors, no anomalous dispersion.

Cell and atoms:
```
7
Lattice="4.3617 0.0000 0.0000 0.0000 4.9065 0.0000 0.0000 0.0000 8.9959" Properties=species:S:1:pos:R:3 pbc="T T T"
Sm 0.0000 0.0000 0.0000
Pu 2.1808 2.4533 4.4979
Hg 0.0000 2.4533 2.2190
Hg 0.0000 2.4533 6.7769
Hg 2.1808 0.0000 2.4565
Hg 2.1808 0.0000 6.5394
Hg 2.1808 2.4533 0.0000
```

Peak list (10 most intense, 2θ = 10–80°, by angle)
- 2θ 34.0, 2.640 Å, I = 100
- 2θ 36.6, 2.453 Å, I = 21
- 2θ 40.1, 2.249 Å, I = 15
- 2θ 41.4, 2.181 Å, I = 15
- 2θ 55.4, 1.658 Å, I = 14
- 2θ 56.5, 1.630 Å, I = 12
- 2θ 64.3, 1.450 Å, I = 16
- 2θ 68.9, 1.362 Å, I = 11
- 2θ 70.8, 1.332 Å, I = 12
- 2θ 71.5, 1.320 Å, I = 11